# 1
Starting from DFT lattice parameters and positions (GGA-PBE), the powder X-ray diffraction pattern of Mg6InIr was calculated for λ = 1.5418 Å (Cu Kα).
Kinematic intensities with the Lorentz-polarization factor, no thermal factor.

Structural model:
```
data_Mg6InIr
_space_group_name_H-M_alt 'C m m m'
_space_group_IT_number 65
_space_group_name_Hall '-C 2 2'
_cell_length_a 8.336
_cell_length_b 12.259
_cell_length_c 12.505
_cell_angle_alpha 90.00
_cell_angle_beta 90.00
_cell_angle_gamma 90.00
loop_
_atom_site_label
_atom_site_type_symbol
_atom_site_fract_x
_atom_site_fract_y
_atom_site_fract_z
_atom_site_occupancy
Mg1 Mg 0.000 0.000 0.000 1
Mg2 Mg 0.000 0.000 0.500 1
Mg3 Mg 0.000 0.249 0.228 1
Mg4 Mg 0.000 0.500 0.000 1
Mg5 Mg 0.000 0.500 0.500 1
Mg6 Mg 0.224 0.378 0.361 1
Mg7 Mg 0.234 0.371 0.115 1
In1 In 0.000 0.000 0.248 1
In2 In 0.000 0.237 0.500 1
Ir1 Ir 0.000 0.238 0.000 1
Ir2 Ir 0.000 0.500 0.242 1
```

Most intense lines, 2θ = 10–90°, low angle first:
two_theta  Rel. int.  index
20.29  1000  0 2 2
21.32  466  2 0 0
28.55  219  0 0 4
29.59  793  2 2 2
35.91  753  2 0 4
36.39  732  2 4 0
41.25  498  0 4 4
43.42  219  4 0 0
46.89  244  2 4 4
61.43  283  4 4 4

---

# 2
Starting from DFT lattice parameters and positions (GGA-PBE), the powder X-ray diffraction pattern of MgTiInIr was calculated for λ = 1.5418 Å (Cu Kα).
Kinematic intensities with the Lorentz-polarization factor, no thermal factor.

Structural model:
```
data_MgTiInIr
_space_group_name_H-M_alt 'P 4 m m'
_space_group_IT_number 99
_space_group_name_Hall 'P 4 -2'
_cell_length_a 3.076
_cell_length_b 3.076
_cell_length_c 7.645
_cell_angle_alpha 90.00
_cell_angle_beta 90.00
_cell_angle_gamma 90.00
loop_
_atom_site_label
_atom_site_type_symbol
_atom_site_fract_x
_atom_site_fract_y
_atom_site_fract_z
_atom_site_occupancy
Mg1 Mg 0.000 0.000 0.000 1
Ti1 Ti 0.000 0.000 0.581 1
In1 In 0.500 0.500 0.306 1
Ir1 Ir 0.500 0.500 0.771 1
```

Most intense lines, 2θ = 10–90°, low angle first:
two_theta  Rel. int.  index
11.58  350  0 0 1
23.27  360  0 0 2
29.03  404  1 0 0
37.53  1000  1 0 2
41.51  412  1 1 0
48.13  214  1 1 2
56.70  141  1 0 4
60.16  135  2 0 0
64.95  149  1 1 4
73.10  275  2 1 2

---

# 3
Starting from DFT lattice parameters and positions (GGA-PBE), the powder X-ray diffraction pattern of NaIn6Ir6 was calculated for λ = 1.5418 Å (Cu Kα).
Kinematic intensities with the Lorentz-polarization factor, no thermal factor.

Structural model:
```
data_NaIn6Ir6
_space_group_name_H-M_alt 'I m m m'
_space_group_IT_number 71
_space_group_name_Hall '-I 2 2'
_cell_length_a 5.626
_cell_length_b 9.023
_cell_length_c 9.709
_cell_angle_alpha 90.00
_cell_angle_beta 90.00
_cell_angle_gamma 90.00
loop_
_atom_site_label
_atom_site_type_symbol
_atom_site_fract_x
_atom_site_fract_y
_atom_site_fract_z
_atom_site_occupancy
Na1 Na 0.000 0.000 0.000 1
In1 In 0.000 0.000 0.335 1
In2 In 0.000 0.327 0.000 1
In3 In 0.000 0.500 0.331 1
Ir1 Ir 0.000 0.252 0.500 1
Ir2 Ir 0.250 0.250 0.250 1
```

Most intense lines, 2θ = 10–90°, low angle first:
two_theta  Rel. int.  index
18.24  238  0 0 2
19.68  315  0 2 0
36.93  298  2 0 2
37.04  148  0 0 4
37.74  342  2 2 0
39.97  212  0 4 0
42.22  1000  2 2 2
44.26  181  0 4 2
55.57  149  0 4 4
66.68  137  2 0 6